Starting from a structure optimized by DFT (PBE+U), the PXRD pattern of PmTiV2O8 was calculated for Cu Kα X-rays.

Atomic structure:
```
PmTiV2O8
1.0
5.8282 0.0000 0.0000
-2.9141 5.0474 0.0000
0.0000 0.0000 6.0368
Pm Ti V O
1 1 2 8
direct
0.0000 0.0000 0.0000 Pm
0.0000 0.0000 0.5000 Ti
0.3333 0.6667 0.3677 V
0.6667 0.3333 0.6323 V
0.1597 0.3194 0.2879 O
0.1597 0.8403 0.2879 O
0.3194 0.1597 0.7121 O
0.3333 0.6667 0.6366 O
0.6667 0.3333 0.3634 O
0.6806 0.8403 0.2879 O
0.8403 0.1597 0.7121 O
0.8403 0.6806 0.7121 O
```

Principal peaks in the range 5° ≤ 2θ ≤ 70°, in order of rising 2θ:
2theta, I (rel.), index
17.6, 87, 1 0 0
23.0, 100, 0 1 1
30.7, 88, 1 1 0
34.6, 55, 1 0 2
38.7, 27, 0 2 1
43.2, 33, 1 1 2
46.9, 35, 0 2 2
50.1, 26, 1 2 1
57.1, 29, 2 1 2
63.9, 18, 2 2 0